# 1
Starting from a structure optimized by DFT (PBE), the powder XRD pattern of Ba6HgAu was simulated for λ = 1.5418 Å (Cu Kα).
Neutral-atom scattering factors, no anomalous dispersion.

Peak list (6 most intense, 10 to 80 degrees two-theta, by intensity)
two_theta  I_rel
24.70  100
31.86  70
38.31  47
16.99  44
41.35  25
62.02  23

Atomic structure:
```
Ba6HgAu
1.0
8.140 0.000 0.000
-4.070 7.049 0.000
0.000 0.000 15.526
Ba Hg Au
12 2 2
direct
0.011 0.333 0.123
0.011 0.678 0.377
0.322 0.333 0.377
0.322 0.989 0.123
0.333 0.011 0.623
0.333 0.322 0.877
0.667 0.678 0.123
0.667 0.989 0.377
0.678 0.011 0.877
0.678 0.667 0.623
0.989 0.322 0.623
0.989 0.667 0.877
0.333 0.667 0.750
0.667 0.333 0.250
0.000 0.000 0.000
0.000 0.000 0.500
```

***

# 2
Starting from a structure optimized by DFT (PBE), the powder XRD pattern of PrNd3Tm4 was simulated for λ = 1.5418 Å (Cu Kα).
Neutral-atom scattering factors, no anomalous dispersion.

Peak list (6 most intense, 10 to 80 degrees two-theta, by intensity)
two_theta  I_rel
30.48  100
35.45  67
30.88  32
50.75  24
51.27  24
60.56  19

Atomic structure:
```
PrNd3Tm4
1.0
6.226 0.000 0.000
0.000 3.602 0.000
-2.091 0.000 11.584
Pr Nd Tm
1 3 4
direct
0.000 0.000 0.000
0.000 0.500 0.500
0.500 0.000 0.500
0.500 0.500 0.000
0.250 0.000 0.750
0.250 0.500 0.250
0.750 0.000 0.250
0.750 0.500 0.750
```

***

# 3
Starting from a structure optimized by DFT (PBE), the powder XRD pattern of AcSm6Er3 was simulated for λ = 1.5418 Å (Cu Kα).
Neutral-atom scattering factors, no anomalous dispersion.

Peak list (6 most intense, 10 to 80 degrees two-theta, by intensity)
two_theta  I_rel
32.46  100
30.63  99
32.28  96
29.55  93
30.50  82
28.44  37

Atomic structure:
```
AcSm6Er3
1.0
12.728 0.000 0.000
0.000 3.675 0.000
-1.604 0.000 14.572
Ac Sm Er
2 12 6
direct
0.156 0.250 0.368
0.844 0.750 0.632
0.100 0.250 0.036
0.112 0.750 0.587
0.260 0.750 0.182
0.274 0.750 0.926
0.335 0.250 0.729
0.371 0.750 0.508
0.629 0.250 0.492
0.665 0.750 0.271
0.726 0.250 0.074
0.740 0.250 0.818
0.888 0.250 0.413
0.900 0.750 0.964
0.048 0.250 0.795
0.439 0.250 0.319
0.462 0.250 0.093
0.538 0.750 0.907
0.561 0.750 0.681
0.952 0.750 0.205
```

***

# 4
Starting from a structure optimized by DFT (PBE), the powder XRD pattern of TmH11Rh5 was simulated for λ = 1.5418 Å (Cu Kα).
Neutral-atom scattering factors, no anomalous dispersion.

Peak list (6 most intense, 10 to 80 degrees two-theta, by intensity)
two_theta  I_rel
35.12  100
34.98  87
28.91  87
36.09  82
42.43  77
36.50  75

Atomic structure:
```
TmH11Rh5
1.0
3.613 -3.883 0.000
3.613 3.883 0.000
-1.751 0.000 5.097
Tm H Rh
1 11 5
direct
0.000 0.000 0.000
0.000 0.000 0.500
0.155 0.666 0.646
0.180 0.446 0.062
0.306 0.306 0.685
0.334 0.845 0.354
0.446 0.180 0.062
0.554 0.820 0.938
0.666 0.155 0.646
0.694 0.694 0.315
0.820 0.554 0.938
0.845 0.334 0.354
0.024 0.629 0.290
0.371 0.976 0.710
0.500 0.500 0.000
0.629 0.024 0.290
0.976 0.371 0.710
```

***

# 5
Starting from a structure optimized by DFT (PBE), the powder XRD pattern of Cu2Ag5Au5 was simulated for λ = 1.5418 Å (Cu Kα).
Neutral-atom scattering factors, no anomalous dispersion.

Peak list (6 most intense, 10 to 80 degrees two-theta, by intensity)
two_theta  I_rel
38.11  100
43.34  17
44.23  17
45.30  15
77.29  12
63.64  11

Atomic structure:
```
Cu2Ag5Au5
1.0
6.006 -2.048 0.000
6.006 2.048 0.000
-3.982 0.000 8.351
Cu Ag Au
2 5 5
direct
0.084 0.084 0.247
0.916 0.916 0.753
0.332 0.332 0.499
0.422 0.422 0.251
0.500 0.500 0.000
0.578 0.578 0.749
0.668 0.668 0.501
0.000 0.000 0.500
0.162 0.162 0.997
0.256 0.256 0.750
0.744 0.744 0.250
0.838 0.838 0.003
```

***

# 6
Starting from a structure optimized by DFT (PBE), the powder XRD pattern of SmZr2MnN4 was simulated for λ = 1.5418 Å (Cu Kα).
Neutral-atom scattering factors, no anomalous dispersion.

Peak list (6 most intense, 10 to 80 degrees two-theta, by intensity)
two_theta  I_rel
32.86  100
32.27  90
40.27  72
29.03  67
37.63  50
55.95  36

Atomic structure:
```
SmZr2MnN4
1.0
1.631 -5.555 0.000
1.631 5.555 0.000
0.000 0.000 11.081
Sm Zr Mn N
2 4 2 8
direct
0.105 0.895 0.750
0.895 0.105 0.250
0.368 0.632 0.547
0.368 0.632 0.953
0.632 0.368 0.047
0.632 0.368 0.453
0.158 0.842 0.250
0.842 0.158 0.750
0.000 0.000 0.000
0.000 0.000 0.500
0.268 0.732 0.120
0.268 0.732 0.380
0.431 0.569 0.750
0.569 0.431 0.250
0.732 0.268 0.620
0.732 0.268 0.880
```

***

What did the second record say?
Starting from a structure optimized by DFT (PBE), the powder XRD pattern of PrNd3Tm4 was simulated for λ = 1.5418 Å (Cu Kα).
Neutral-atom scattering factors, no anomalous dispersion.

Peak list (6 most intense, 10 to 80 degrees two-theta, by intensity)
two_theta  I_rel
30.48  100
35.45  67
30.88  32
50.75  24
51.27  24
60.56  19

Atomic structure:
```
PrNd3Tm4
1.0
6.226 0.000 0.000
0.000 3.602 0.000
-2.091 0.000 11.584
Pr Nd Tm
1 3 4
direct
0.000 0.000 0.000
0.000 0.500 0.500
0.500 0.000 0.500
0.500 0.500 0.000
0.250 0.000 0.750
0.250 0.500 0.250
0.750 0.000 0.250
0.750 0.500 0.750
```